(1)
Calculated PXRD pattern
Compound: CeMg
Radiation: Cu Kα (weighted mean of Kα1 and Kα2)
Structure: the GGA-PBE geometry in Alexandria

Main lines, by intensity (2θ from 10° to 80°):
2θ/deg, I (rel.)
36.2, 100
34.4, 44
33.4, 38
65.5, 25
41.6, 23
61.6, 21
32.0, 20
30.0, 20
33.2, 19
26.0, 19
45.6, 17
54.5, 16

Crystal structure
```
CeMg
1.0
5.359 0.000 0.000
0.000 1.586 8.935
0.000 -1.586 8.935
Ce Mg
3 3
Cartesian
0.000 0.000 0.000
0.000 0.000 6.166
2.680 0.000 15.822
0.000 0.000 11.989
2.680 0.000 3.912
2.680 0.000 10.122
```



(2)
Calculated PXRD pattern
Compound: Ce2Mg17
Radiation: Cu Kα (weighted mean of Kα1 and Kα2)
Structure: the GGA-PBE geometry in Alexandria

Main lines, by intensity (2θ from 10° to 80°):
2θ/deg, I (rel.)
35.0, 100
24.7, 76
34.9, 55
30.1, 51
17.2, 39
33.3, 31
13.2, 30
35.5, 26
50.2, 25
50.6, 22
27.9, 21
56.6, 21

Crystal structure
```
Ce2Mg17
1.0
10.295 0.000 0.000
-5.147 8.916 0.000
0.000 0.000 10.114
Ce Mg
4 34
Cartesian
0.000 0.000 2.528
0.000 0.000 7.585
0.000 5.944 2.528
5.147 2.972 7.585
-2.574 4.458 0.000
-2.574 4.458 5.057
-1.517 3.233 7.585
-3.106 5.985 7.585
0.000 2.893 0.224
0.000 2.893 4.833
-2.642 7.469 0.224
-2.642 7.469 4.833
2.506 1.447 5.281
2.506 1.447 9.890
1.517 3.233 7.585
-1.589 8.613 7.585
0.000 5.944 6.059
0.000 5.944 9.112
3.558 0.303 2.528
2.042 2.930 2.528
5.147 0.000 0.000
5.147 0.000 5.057
2.574 4.458 0.000
2.574 4.458 5.057
3.106 5.985 7.585
1.589 8.613 7.585
5.147 2.972 1.002
5.147 2.972 4.055
6.736 0.303 2.528
3.631 5.682 2.528
2.642 7.469 0.224
2.642 7.469 4.833
7.789 1.447 5.281
7.789 1.447 9.890
5.147 6.022 5.281
5.147 6.022 9.890
8.253 2.930 2.528
6.664 5.682 2.528
```



(3)
Calculated PXRD pattern
Compound: CeMg
Radiation: Cu Kα (weighted mean of Kα1 and Kα2)
Structure: the GGA-PBE geometry in Alexandria

Main lines, by intensity (2θ from 10° to 80°):
2θ/deg, I (rel.)
13.0, 100
34.8, 63
38.7, 41
31.8, 37
33.2, 32
39.9, 22
35.8, 17
38.8, 15
20.3, 14
55.8, 14
57.7, 13
26.8, 11

Crystal structure
```
CeMg
1.0
6.929 -1.568 0.000
6.929 1.568 0.000
-1.442 0.000 6.809
Ce Mg
3 3
Cartesian
0.000 0.000 0.000
4.418 0.000 0.878
7.998 0.000 5.931
-0.721 0.000 3.405
3.686 0.000 4.376
8.730 0.000 2.433
```



(4)
Calculated PXRD pattern
Compound: CeMg
Radiation: Cu Kα (weighted mean of Kα1 and Kα2)
Structure: the GGA-PBE geometry in Alexandria

Main lines, by intensity (2θ from 10° to 80°):
2θ/deg, I (rel.)
36.4, 100
33.7, 42
31.1, 33
23.2, 23
58.8, 23
32.7, 22
67.7, 21
40.5, 20
45.8, 17
58.4, 17
51.9, 16
70.8, 14

Crystal structure
```
CeMg
1.0
3.159 0.000 0.000
-1.579 2.735 0.000
0.000 0.000 11.510
Ce Mg
2 2
Cartesian
0.000 1.824 1.508
1.579 0.912 10.003
0.000 1.824 7.075
1.579 0.912 4.436
```



(5)
Calculated PXRD pattern
Compound: CeMg6Mn
Radiation: Cu Kα (weighted mean of Kα1 and Kα2)
Structure: the GGA-PBE geometry in Alexandria

Main lines, by intensity (2θ from 10° to 80°):
2θ/deg, I (rel.)
38.1, 100
34.3, 83
14.5, 68
33.6, 49
35.4, 46
17.5, 45
22.8, 44
24.2, 32
49.6, 32
16.6, 29
32.0, 26
54.7, 23

Crystal structure
```
CeMg6Mn
1.0
5.074 0.000 0.000
0.000 2.968 6.105
0.000 -2.968 6.105
Ce Mg Mn
1 6 1
Cartesian
0.000 0.000 0.000
0.000 -1.473 9.102
0.000 1.473 9.102
2.537 -1.470 4.762
2.537 0.000 1.955
2.537 0.000 7.476
2.537 1.470 4.762
0.000 0.000 5.734
```



(6)
Calculated PXRD pattern
Compound: Ce2MgMn2Rh5
Radiation: Cu Kα (weighted mean of Kα1 and Kα2)
Structure: the GGA-PBE geometry in Alexandria

Main lines, by intensity (2θ from 10° to 80°):
2θ/deg, I (rel.)
38.1, 100
39.2, 77
41.7, 57
31.5, 49
63.2, 37
47.4, 34
40.4, 27
35.6, 27
30.0, 24
45.0, 17
67.1, 16
13.2, 15

Crystal structure
```
Ce2MgMn2Rh5
1.0
9.464 0.000 0.000
0.000 9.464 0.000
0.000 0.000 3.837
Ce Mg Mn Rh
4 2 4 10
Cartesian
1.713 3.019 0.000
3.019 7.751 0.000
6.445 1.713 0.000
7.751 6.445 0.000
0.000 0.000 0.000
4.732 4.732 0.000
1.123 5.855 0.000
3.609 1.123 0.000
5.855 8.341 0.000
8.341 3.609 0.000
0.000 4.732 1.919
0.639 7.502 1.919
1.962 0.639 1.919
2.770 5.371 1.919
4.093 2.770 1.919
4.732 0.000 1.919
5.371 6.694 1.919
6.694 4.093 1.919
7.502 8.825 1.919
8.825 1.962 1.919
```



(7)
Calculated PXRD pattern
Compound: CeMg14Mo
Radiation: Cu Kα (weighted mean of Kα1 and Kα2)
Structure: the GGA-PBE geometry in Alexandria

Main lines, by intensity (2θ from 10° to 80°):
2θ/deg, I (rel.)
38.1, 100
35.7, 75
17.7, 48
34.3, 46
33.8, 39
15.5, 33
17.0, 27
48.9, 27
23.0, 24
68.5, 21
63.9, 19
57.2, 19

Crystal structure
```
CeMg14Mo
1.0
10.451 0.000 0.000
0.000 2.991 5.728
0.000 -2.991 5.728
Ce Mg Mo
1 14 1
Cartesian
0.000 0.000 0.000
0.000 -1.477 2.854
0.000 1.477 2.854
2.384 0.000 7.310
2.587 -1.466 4.554
2.587 1.466 4.554
2.766 0.000 1.708
5.226 0.000 5.632
5.226 -1.479 8.483
5.226 0.000 11.294
5.226 1.479 8.483
7.685 0.000 1.708
7.864 -1.466 4.554
7.864 1.466 4.554
8.068 0.000 7.310
0.000 0.000 5.554
```



(8)
Calculated PXRD pattern
Compound: CeMg3Pa2N6
Radiation: Cu Kα (weighted mean of Kα1 and Kα2)
Structure: the GGA-PBE geometry in Alexandria

Main lines, by intensity (2θ from 10° to 80°):
2θ/deg, I (rel.)
16.7, 100
31.8, 83
37.3, 60
30.2, 49
37.9, 28
55.5, 28
33.8, 24
30.5, 24
41.4, 21
52.9, 21
63.9, 17
66.5, 16

Crystal structure
```
CeMg3Pa2N6
1.0
7.231 -1.743 0.000
7.231 1.743 0.000
-1.128 0.000 6.584
Ce Mg Pa N
1 3 2 6
Cartesian
0.000 0.000 0.000
-0.564 0.000 3.292
4.624 0.000 1.089
8.710 0.000 5.494
4.113 0.000 4.422
9.221 0.000 2.162
2.391 0.000 0.641
1.851 0.000 3.768
6.377 0.000 4.846
6.956 0.000 1.738
11.483 0.000 2.815
10.943 0.000 5.942
```